(1)
Diffraction record for Li3BiPd7. The PXRD pattern is computed, not measured: it uses DFT lattice parameters and positions (GGA-PBE) and Cu Kα X-rays.

Principal peaks in the range 2θ from 10° to 90°, most intense first:
Position (°2θ)	I_rel
14.85	100.0
38.67	76.8
38.85	67.4
40.83	52.3
42.47	45.1
32.34	43.4
39.60	39.5
20.09	37.7
29.97	32.6
39.16	30.0

Structural model:
Cell lengths 8.883, 8.079, 5.151 Å; angles 90.00, 95.62, 90.00 degrees
Space group C2/m (No. 12)
Inequivalent atoms, fractional coordinates:
Li  0.000  0.000  0.000 [2 per cell]
Li  0.000  0.186  0.500 [4 per cell]
Bi  0.000  0.500  0.000 [2 per cell]
Pd  0.000  0.500  0.500 [2 per cell]
Pd  0.221  0.000  0.715 [4 per cell]
Pd  0.247  0.169  0.239 [8 per cell]

=====

(2)
Diffraction record for LiBi5Pd3. The PXRD pattern is computed, not measured: it uses DFT lattice parameters and positions (GGA-PBE) and Cu Kα X-rays.

Principal peaks in the range 2θ from 10° to 90°, most intense first:
Position (°2θ)	I_rel
29.34	100.0
28.19	54.2
30.69	38.0
40.16	35.0
31.55	34.5
47.22	34.3
38.96	30.6
19.94	30.1
43.70	29.2
54.13	24.2

Structural model:
Cell lengths 12.705, 8.975, 9.534 Å; angles 90.00, 113.54, 90.00 degrees
Space group C2/m (No. 12)
Inequivalent atoms, fractional coordinates:
Li  0.094  0.000  0.297 [4 per cell]
Bi  0.000  0.301  0.000 [4 per cell]
Bi  0.042  0.500  0.330 [4 per cell]
Bi  0.181  0.202  0.605 [8 per cell]
Bi  0.221  0.000  0.038 [4 per cell]
Pd  0.000  0.000  0.000 [2 per cell]
Pd  0.000  0.000  0.500 [2 per cell]
Pd  0.171  0.500  0.654 [4 per cell]
Pd  0.184  0.500  0.167 [4 per cell]

=====

(3)
Diffraction record for Li3Bi2Pd2. The PXRD pattern is computed, not measured: it uses DFT lattice parameters and positions (GGA-PBE) and Cu Kα X-rays.

Principal peaks in the range 2θ from 10° to 90°, most intense first:
Position (°2θ)	I_rel
22.14	100.0
38.14	76.8
26.01	75.3
38.03	64.5
22.20	51.0
46.45	33.4
37.32	27.5
37.79	26.4
46.20	17.5
46.83	15.2

Structural model:
Cell lengths 4.717, 4.723, 7.334 Å; angles 107.54, 90.85, 119.85 degrees
Space group P-1 (No. 2)
Inequivalent atoms, fractional coordinates:
Li  0.000  0.000  0.000 [1 per cell]
Li  0.140  0.283  0.421 [2 per cell]
Bi  0.414  0.835  0.243 [2 per cell]
Pd  0.273  0.535  0.815 [2 per cell]

=====

(4)
Diffraction record for Li2Bi3Pd4. The PXRD pattern is computed, not measured: it uses DFT lattice parameters and positions (GGA-PBE) and Cu Kα X-rays.

Principal peaks in the range 2θ from 10° to 90°, most intense first:
Position (°2θ)	I_rel
37.41	100.0
23.68	81.5
37.62	71.0
37.50	42.5
30.43	19.1
67.76	18.8
67.47	17.8
67.88	17.6
49.13	15.3
20.15	14.9

Structural model:
Cell lengths 4.783, 4.797, 8.814 Å; angles 89.48, 89.92, 60.29 degrees
Space group P-1 (No. 2)
Inequivalent atoms, fractional coordinates:
Li  0.166  0.167  0.218 [2 per cell]
Bi  0.168  0.167  0.603 [2 per cell]
Bi  0.500  0.500  0.000 [1 per cell]
Pd  0.166  0.167  0.911 [2 per cell]
Pd  0.498  0.499  0.334 [2 per cell]

=====

(5)
Diffraction record for Li4BiPd2. The PXRD pattern is computed, not measured: it uses DFT lattice parameters and positions (GGA-PBE) and Cu Kα X-rays.

Principal peaks in the range 2θ from 10° to 90°, most intense first:
Position (°2θ)	I_rel
25.62	100.0
13.49	89.2
38.88	70.1
27.28	69.2
54.42	53.0
29.06	51.0
36.54	43.6
46.19	34.4
39.12	27.3
59.43	19.4

Structural model:
Cell lengths 4.918, 4.918, 13.128 Å; angles 90.00, 90.00, 90.00 degrees
Space group I4/mmm (No. 139)
Inequivalent atoms, fractional coordinates:
Li  0.000  0.000  0.209 [4 per cell]
Li  0.000  0.500  0.000 [4 per cell]
Bi  0.000  0.000  0.000 [2 per cell]
Pd  0.000  0.000  0.399 [4 per cell]

=====

(6)
Diffraction record for Li2BiPd2. The PXRD pattern is computed, not measured: it uses DFT lattice parameters and positions (GGA-PBE) and Cu Kα X-rays.

Principal peaks in the range 2θ from 10° to 90°, most intense first:
Position (°2θ)	I_rel
40.95	100.0
41.32	48.2
22.16	41.4
37.68	39.6
36.34	28.1
29.09	26.7
24.10	24.9
26.19	23.9
41.16	16.3
65.17	16.2

Structural model:
Cell lengths 9.848, 4.967, 7.389 Å; angles 90.00, 110.73, 90.00 degrees
Space group P2_1/c (No. 14)
Inequivalent atoms, fractional coordinates:
Li  0.125  0.077  0.095 [4 per cell]
Li  0.228  0.608  0.988 [4 per cell]
Bi  0.332  0.099  0.888 [4 per cell]
Pd  0.045  0.577  0.195 [4 per cell]
Pd  0.433  0.593  0.790 [4 per cell]

=====

(7)
Diffraction record for LiBiPd5. The PXRD pattern is computed, not measured: it uses DFT lattice parameters and positions (GGA-PBE) and Cu Kα X-rays.

Principal peaks in the range 2θ from 10° to 90°, most intense first:
Position (°2θ)	I_rel
20.12	100.0
45.99	86.8
16.01	59.7
46.41	56.1
35.79	51.4
18.70	41.4
40.91	39.1
39.35	33.2
25.04	30.3
28.61	20.7

Structural model:
Cell lengths 7.114, 8.822, 5.629 Å; angles 90.00, 90.00, 90.00 degrees
Space group Imm2 (No. 44)
Inequivalent atoms, fractional coordinates:
Li  0.000  0.000  0.000 [2 per cell]
Bi  0.000  0.500  0.706 [2 per cell]
Pd  0.000  0.253  0.440 [4 per cell]
Pd  0.000  0.500  0.203 [2 per cell]
Pd  0.187  0.000  0.471 [4 per cell]

=====

(8)
Diffraction record for Li2Pm3Bi3. The PXRD pattern is computed, not measured: it uses DFT lattice parameters and positions (GGA-PBE) and Cu Kα X-rays.

Principal peaks in the range 2θ from 10° to 90°, most intense first:
Position (°2θ)	I_rel
29.58	100.0
30.85	72.2
26.91	58.2
34.22	52.3
39.64	33.8
37.46	29.6
45.66	23.4
42.68	20.2
57.01	19.7
33.97	18.6

Structural model:
Cell lengths 4.547, 12.097, 15.833 Å; angles 90.00, 90.00, 90.00 degrees
Space group Cmcm (No. 63)
Inequivalent atoms, fractional coordinates:
Li  0.000  0.229  0.098 [8 per cell]
Pm  0.000  0.069  0.608 [8 per cell]
Pm  0.000  0.359  0.750 [4 per cell]
Bi  0.000  0.355  0.250 [4 per cell]
Bi  0.000  0.372  0.549 [8 per cell]

=====

(9)
Diffraction record for Li2Pm2ThBi2. The PXRD pattern is computed, not measured: it uses DFT lattice parameters and positions (GGA-PBE) and Cu Kα X-rays.

Principal peaks in the range 2θ from 10° to 90°, most intense first:
Position (°2θ)	I_rel
36.39	100.0
33.41	93.2
30.88	90.1
21.02	64.3
63.09	38.0
50.22	30.1
63.59	30.0
24.50	27.9
48.45	26.4
62.08	25.4

Structural model:
Cell lengths 4.9381, 4.9381, 27.5500 Å; angles 90.00, 90.00, 120.00 degrees
Space group R-3m (No. 166, hexagonal axes)
Inequivalent atoms, fractional coordinates:
Li  0.0000  0.0000  0.0956 [6 per cell]
Pm  0.0000  0.0000  0.3720 [6 per cell]
Th  0.0000  0.0000  0.5000 [3 per cell]
Bi  0.0000  0.0000  0.2346 [6 per cell]

=====

(10)
Diffraction record for Li4PrBi2. The PXRD pattern is computed, not measured: it uses DFT lattice parameters and positions (GGA-PBE) and Cu Kα X-rays.

Principal peaks in the range 2θ from 10° to 90°, most intense first:
Position (°2θ)	I_rel
24.40	100.0
30.12	44.7
30.68	43.7
39.13	40.2
37.58	38.8
14.93	26.8
23.71	25.0
62.94	24.4
21.18	24.1
49.99	22.4

Structural model:
Cell lengths 8.391, 8.391, 4.627 Å; angles 90.00, 90.00, 90.00 degrees
Space group P4_2/mnm (No. 136)
Inequivalent atoms, fractional coordinates:
Li  0.100  0.342  0.000 [8 per cell]
Pr  0.000  0.000  0.500 [2 per cell]
Bi  0.212  0.788  0.000 [4 per cell]

=====

(11)
Diffraction record for Li3Pr4Bi8. The PXRD pattern is computed, not measured: it uses DFT lattice parameters and positions (GGA-PBE) and Cu Kα X-rays.

Principal peaks in the range 2θ from 10° to 90°, most intense first:
Position (°2θ)	I_rel
32.58	100.0
28.83	67.5
25.94	62.1
39.24	46.4
47.63	38.4
66.94	23.9
56.70	17.5
48.36	15.0
64.84	14.4
63.36	14.1

Structural model:
Cell lengths 4.592, 4.592, 20.634 Å; angles 90.00, 90.00, 90.00 degrees
Space group P-4m2 (No. 115)
Inequivalent atoms, fractional coordinates:
Li  0.000  0.000  0.000 [1 per cell]
Li  0.000  0.000  0.500 [1 per cell]
Li  0.500  0.500  0.000 [1 per cell]
Pr  0.000  0.500  0.133 [2 per cell]
Pr  0.000  0.500  0.615 [2 per cell]
Bi  0.000  0.000  0.259 [2 per cell]
Bi  0.000  0.500  0.430 [2 per cell]
Bi  0.000  0.500  0.915 [2 per cell]
Bi  0.500  0.500  0.258 [2 per cell]

=====

(12)
Diffraction record for Li7PrBi4. The PXRD pattern is computed, not measured: it uses DFT lattice parameters and positions (GGA-PBE) and Cu Kα X-rays.

Principal peaks in the range 2θ from 10° to 90°, most intense first:
Position (°2θ)	I_rel
23.96	100.0
27.81	55.9
29.69	39.4
20.81	30.2
34.28	29.3
45.97	24.4
19.15	23.1
47.12	21.6
38.62	19.8
31.86	18.5

Structural model:
Cell lengths 12.677, 5.231, 10.430 Å; angles 90.00, 125.06, 90.00 degrees
Space group C2/m (No. 12)
Inequivalent atoms, fractional coordinates:
Li  0.000  0.000  0.000 [2 per cell]
Li  0.094  0.500  0.439 [4 per cell]
Li  0.181  0.000  0.901 [4 per cell]
Li  0.199  0.000  0.632 [4 per cell]
Pr  0.000  0.500  0.000 [2 per cell]
Bi  0.088  0.000  0.301 [4 per cell]
Bi  0.200  0.500  0.781 [4 per cell]